Theoretical PXRD pattern
Compound: BaCu2AsH2
Radiation: Cu Kα, 1.54184 Å
Structure: the GGA-PBE geometry in Alexandria

Structure:
```
data_BaCu2AsH2
_chemical_formula_sum 'Ba2 Cu4 As2 H4'
_cell_length_a 6.802
_cell_length_b 5.060
_cell_length_c 6.802
_cell_angle_alpha 90.00
_cell_angle_beta 114.50
_cell_angle_gamma 90.00
_space_group_name_H-M_alt 'P 1 21/m 1'
_space_group_IT_number 11
_space_group_name_Hall '-P 2yb'
loop_
_atom_site_label
_atom_site_fract_x
_atom_site_fract_y
_atom_site_fract_z
Ba1 0.174 0.250 0.321
Cu1 0.331 0.000 0.825
As1 0.346 0.750 0.146
H1 0.148 0.250 0.742
H2 0.248 0.750 0.642
```

Most intense lines, 5° ≤ 2θ ≤ 70°, in order of rising 2θ:
Position (°2θ), intensity
14.3, 26.8
23.5, 100.0
26.3, 34.9
28.8, 63.9
34.0, 80.1
36.1, 32.0
38.9, 48.7
43.4, 50.0
43.9, 38.5
47.7, 26.4
48.0, 25.4
55.5, 34.2